[1]
Structure and calculated X-ray diffraction stick pattern of NaCoC4O4 (a structure optimized by DFT (GGA+U); copper Kα).
Intensities are scaled so that the largest is 100.

Crystal structure
```
data_NaCoC4O4
_chemical_formula_sum 'Na4 Co4 C16 O16'
_cell_length_a 5.6407
_cell_length_b 13.9347
_cell_length_c 9.3187
_cell_angle_alpha 90.00
_cell_angle_beta 90.00
_cell_angle_gamma 90.00
_space_group_name_H-M_alt 'P b c m'
_space_group_IT_number 57
_space_group_name_Hall '-P 2c 2b'
loop_
_atom_site_label
_atom_site_type_symbol
_atom_site_fract_x
_atom_site_fract_y
_atom_site_fract_z
Na1 Na 0.0868 0.0842 0.2500
Co1 Co 0.3123 0.6226 0.7500
C1 C 0.1369 0.6232 0.5957
C2 C 0.4700 0.0345 0.7500
C3 C 0.4876 0.7253 0.7500
O1 O 0.0214 0.6255 0.0092
O2 O 0.3082 0.5188 0.2500
O3 O 0.3836 0.2085 0.2500
```

Main lines, low angle first (15° ≤ 2θ ≤ 90°):
| 2theta | d/Å | I_rel | index |
| --- | --- | --- | --- |
| 15.88 | 5.580 | 66 | 0 2 1 |
| 16.96 | 5.229 | 40 | 1 1 0 |
| 19.05 | 4.659 | 93 | 0 0 2 |
| 19.47 | 4.560 | 64 | 1 1 1 |
| 22.41 | 3.967 | 30 | 1 2 1 |
| 24.80 | 3.590 | 100 | 1 0 2 |
| 25.57 | 3.483 | 41 | 0 4 0 |
| 26.64 | 3.346 | 78 | 1 3 1 |
| 37.27 | 2.413 | 40 | 1 5 1 |
| 38.63 | 2.331 | 46 | 0 0 4 |

[2]
Structure and calculated X-ray diffraction stick pattern of Na5CoCO5 (a structure optimized by DFT (GGA+U); copper Kα).
Intensities are scaled so that the largest is 100.

Crystal structure
```
data_Na5CoCO5
_chemical_formula_sum 'Na5 Co1 C1 O5'
_cell_length_a 4.5241
_cell_length_b 8.3399
_cell_length_c 4.9563
_cell_angle_alpha 90.00
_cell_angle_beta 90.00
_cell_angle_gamma 90.00
_space_group_name_H-M_alt 'P m m 2'
_space_group_IT_number 25
_space_group_name_Hall 'P 2 -2'
loop_
_atom_site_label
_atom_site_type_symbol
_atom_site_fract_x
_atom_site_fract_y
_atom_site_fract_z
Na1 Na 0.0000 0.0000 0.0000
Na2 Na 0.0000 0.2764 0.5182
Na3 Na 0.5000 0.2622 0.0066
Co1 Co 0.0000 0.5000 0.0180
C1 C 0.5000 0.0000 0.4398
O1 O 0.0000 0.2877 0.0191
O2 O 0.5000 0.0000 0.1768
O3 O 0.5000 0.1368 0.5684
```

Main lines, low angle first (15° ≤ 2θ ≤ 90°):
| 2theta | d/Å | I_rel | index |
| --- | --- | --- | --- |
| 17.90 | 4.956 | 45 | 0 0 1 |
| 20.85 | 4.261 | 36 | 0 1 1 |
| 22.36 | 3.977 | 75 | 1 1 0 |
| 34.39 | 2.608 | 100 | 1 2 1 |
| 36.25 | 2.478 | 57 | 0 0 2 |
| 39.85 | 2.262 | 55 | 2 0 0 |
| 43.40 | 2.085 | 19 | 0 4 0 |
| 47.30 | 1.922 | 17 | 0 4 1 |
| 54.97 | 1.670 | 32 | 2 0 2 |
| 64.02 | 1.454 | 18 | 1 2 3 |

[3]
Structure and calculated X-ray diffraction stick pattern of Na4Co2PC4O16 (a structure optimized by DFT (GGA+U); copper Kα).
Intensities are scaled so that the largest is 100.

Crystal structure
```
data_Na4Co2PC4O16
_chemical_formula_sum 'Na32 Co16 P8 C32 O128'
_cell_length_a 13.8510
_cell_length_b 13.8945
_cell_length_c 14.3856
_cell_angle_alpha 90.00
_cell_angle_beta 90.00
_cell_angle_gamma 90.00
_space_group_name_H-M_alt 'F d d d'
_space_group_IT_number 70
loop_
_space_group_symop_operation_xyz
'x,y,z'
'-x,-y,-z'
'-x+1/4,-y+1/4,z'
'x+1/4,y+1/4,-z'
'x,-y+1/4,-z+1/4'
'-x,y+1/4,z+1/4'
'-x+1/4,y,-z+1/4'
'x+1/4,-y,z+1/4'
'x,y+1/2,z+1/2'
'-x,-y+1/2,-z+1/2'
'-x+1/4,-y+3/4,z+1/2'
'x+1/4,y+3/4,-z+1/2'
'x,-y+3/4,-z+3/4'
'-x,y+3/4,z+3/4'
'-x+1/4,y+1/2,-z+3/4'
'x+1/4,-y+1/2,z+3/4'
'x+1/2,y,z+1/2'
'-x+1/2,-y,-z+1/2'
'-x+3/4,-y+1/4,z+1/2'
'x+3/4,y+1/4,-z+1/2'
'x+1/2,-y+1/4,-z+3/4'
'-x+1/2,y+1/4,z+3/4'
'-x+3/4,y,-z+3/4'
'x+3/4,-y,z+3/4'
'x+1/2,y+1/2,z'
'-x+1/2,-y+1/2,-z'
'-x+3/4,-y+3/4,z'
'x+3/4,y+3/4,-z'
'x+1/2,-y+3/4,-z+1/4'
'-x+1/2,y+3/4,z+1/4'
'-x+3/4,y+1/2,-z+1/4'
'x+3/4,-y+1/2,z+1/4'
loop_
_atom_site_label
_atom_site_type_symbol
_atom_site_fract_x
_atom_site_fract_y
_atom_site_fract_z
Na1 Na 0.0886 0.3750 0.3750
Na2 Na 0.1250 0.3390 0.1250
Co1 Co 0.0000 0.0000 0.5000
P1 P 0.1250 0.1250 0.1250
C1 C 0.0328 0.0344 0.7106
O1 O 0.0148 0.1031 0.7687
O2 O 0.0213 0.2737 0.8881
O3 O 0.0596 0.0591 0.0642
O4 O 0.1021 0.2762 0.5231
```

Main lines, low angle first (15° ≤ 2θ ≤ 90°):
| 2theta | d/Å | I_rel | index |
| --- | --- | --- | --- |
| 17.76 | 4.993 | 67 | 0 2 2 |
| 20.62 | 4.308 | 85 | 1 1 3 |
| 21.17 | 4.196 | 98 | 3 1 1 |
| 21.93 | 4.052 | 27 | 2 2 2 |
| 25.69 | 3.468 | 25 | 4 0 0 |
| 32.43 | 2.761 | 40 | 1 1 5 |
| 33.52 | 2.673 | 100 | 5 1 1 |
| 35.98 | 2.496 | 64 | 4 0 4 |
| 36.64 | 2.452 | 27 | 4 4 0 |
| 56.89 | 1.618 | 27 | 2 6 6 |

[4]
Structure and calculated X-ray diffraction stick pattern of NaCoPCO7 (a structure optimized by DFT (GGA+U); copper Kα).
Intensities are scaled so that the largest is 100.

Crystal structure
```
data_NaCoPCO7
_chemical_formula_sum 'Na2 Co2 P2 C2 O14'
_cell_length_a 5.1779
_cell_length_b 6.3535
_cell_length_c 8.9869
_cell_angle_alpha 90.00
_cell_angle_beta 92.46
_cell_angle_gamma 90.00
_space_group_name_H-M_alt 'P 1 21 1'
_space_group_IT_number 4
_space_group_name_Hall 'P 2yb'
loop_
_atom_site_label
_atom_site_type_symbol
_atom_site_fract_x
_atom_site_fract_y
_atom_site_fract_z
Na1 Na 0.2423 0.0000 0.2486
Co1 Co 0.2138 0.8088 0.8421
P1 P 0.2807 0.2978 0.9300
C1 C 0.2866 0.7811 0.5754
O1 O 0.0575 0.7892 0.6298
O2 O 0.1308 0.2850 0.0739
O3 O 0.2070 0.4889 0.8316
O4 O 0.2206 0.1011 0.8305
O5 O 0.3275 0.7746 0.4401
O6 O 0.4230 0.8043 0.0302
O7 O 0.4711 0.7819 0.6794
```

Main lines, low angle first (15° ≤ 2θ ≤ 90°):
| 2theta | d/Å | I_rel | index |
| --- | --- | --- | --- |
| 17.10 | 5.186 | 100 | 0 1 1 |
| 19.43 | 4.568 | 44 | 1 0 -1 |
| 20.17 | 4.402 | 62 | 1 0 1 |
| 22.16 | 4.012 | 62 | 1 1 0 |
| 24.60 | 3.618 | 36 | 1 1 1 |
| 25.71 | 3.465 | 64 | 1 0 -2 |
| 28.09 | 3.177 | 91 | 0 2 0 |
| 34.65 | 2.589 | 57 | 2 0 0 |
| 38.11 | 2.362 | 36 | 1 1 3 |
| 43.93 | 2.061 | 30 | 0 3 1 |